Record 1
Structure and simulated XRD peak list of TbRh2Pb2 (a PBE-relaxed structure; CuKα).
Kinematic intensities with the Lorentz-polarization factor, no thermal factor.

Most intense lines, 10° ≤ 2θ ≤ 90°, most intense first:
d_spacing	I (rel.)
2.384	100.0
2.375	25.0
3.298	24.5
2.291	22.5
1.373	17.8
1.649	16.4
1.340	16.4
3.450	13.5

Structural model:
Lattice parameters (Å, degrees): 4.5823 4.7504 10.3489 90.00 90.00 90.00
Sites, in units of the cell vectors:
1 Tb 0.2500 0.2500 0.1742
2 Tb 0.7500 0.7500 0.8258
3 Rh 0.2500 0.7500 0.0000
4 Rh 0.2500 0.7500 0.3263
5 Rh 0.7500 0.2500 0.0000
6 Rh 0.7500 0.2500 0.6737
7 Pb 0.2500 0.2500 0.4968
8 Pb 0.2500 0.2500 0.8293
9 Pb 0.7500 0.7500 0.1707
10 Pb 0.7500 0.7500 0.5032

Record 2
Structure and simulated XRD peak list of PrTh2Pt9 (a PBE-relaxed structure; CuKα).
Kinematic intensities with the Lorentz-polarization factor, no thermal factor.

Most intense lines, 10° ≤ 2θ ≤ 90°, most intense first:
d_spacing	I (rel.)
2.339	100.0
2.171	44.6
2.362	29.3
1.369	26.6
2.737	25.0
2.181	23.6
1.491	22.5
2.252	20.1

Structural model:
Lattice parameters (Å, degrees): 9.5452 9.5452 9.5452 33.33 33.33 33.33
Sites, in units of the cell vectors:
1 Pr 0.0000 0.0000 0.0000
2 Th 0.1375 0.1375 0.1375
3 Th 0.8625 0.8625 0.8625
4 Pt 0.0808 0.5874 0.5874
5 Pt 0.3330 0.3330 0.3330
6 Pt 0.4126 0.4126 0.9192
7 Pt 0.4126 0.9192 0.4126
8 Pt 0.5000 0.5000 0.5000
9 Pt 0.5874 0.0808 0.5874
10 Pt 0.5874 0.5874 0.0808
11 Pt 0.6670 0.6670 0.6670
12 Pt 0.9192 0.4126 0.4126

Record 3
Structure and simulated XRD peak list of Er5Ru2Pb2 (a PBE-relaxed structure; CuKα).
Kinematic intensities with the Lorentz-polarization factor, no thermal factor.

Most intense lines, 10° ≤ 2θ ≤ 90°, most intense first:
d_spacing	I (rel.)
2.790	100.0
2.614	52.1
2.745	48.4
2.661	41.1
2.386	38.7
2.335	37.4
2.326	33.7
2.844	33.3

Structural model:
Lattice parameters (Å, degrees): 9.0261 9.0261 7.4089 90.00 90.00 50.15
Sites, in units of the cell vectors:
1 Er 0.0000 0.0000 0.0000
2 Er 0.0561 0.7147 0.6651
3 Er 0.2147 0.5561 0.1651
4 Er 0.2853 0.9439 0.6651
5 Er 0.4439 0.7853 0.1651
6 Er 0.5000 0.5000 0.5000
7 Er 0.5561 0.2147 0.8349
8 Er 0.7147 0.0561 0.3349
9 Er 0.7853 0.4439 0.8349
10 Er 0.9439 0.2853 0.3349
11 Ru 0.1320 0.8680 0.3701
12 Ru 0.3680 0.6320 0.8701
13 Ru 0.6320 0.3680 0.1299
14 Ru 0.8680 0.1320 0.6299
15 Pb 0.2230 0.2230 0.0000
16 Pb 0.2770 0.2770 0.5000
17 Pb 0.7230 0.7230 0.5000
18 Pb 0.7770 0.7770 0.0000

Record 4
Structure and simulated XRD peak list of U2CuSi2O18 (a PBE-relaxed structure; CuKα).
Kinematic intensities with the Lorentz-polarization factor, no thermal factor.

Most intense lines, 10° ≤ 2θ ≤ 90°, most intense first:
d_spacing	I (rel.)
7.787	100.0
5.899	37.4
3.894	35.8
4.882	28.7
4.791	24.5
3.443	24.4
2.953	23.4
3.493	22.6

Structural model:
Lattice parameters (Å, degrees): 6.8813 7.1201 8.2440 79.05 74.23 88.73
Sites, in units of the cell vectors:
1 U 0.1464 0.2523 0.4869
2 U 0.8536 0.7477 0.5131
3 Cu 0.5000 0.5000 0.0000
4 Si 0.3346 0.7546 0.4520
5 Si 0.6654 0.2454 0.5480
6 O 0.0097 0.8558 0.0019
7 O 0.0729 0.1943 0.7223
8 O 0.1783 0.5723 0.5038
9 O 0.1895 0.9339 0.4707
10 O 0.2132 0.3185 0.2528
11 O 0.3408 0.6728 0.9305
12 O 0.4120 0.7666 0.2181
13 O 0.4554 0.3654 0.8256
14 O 0.4662 0.2548 0.4859
15 O 0.5338 0.7452 0.5141
16 O 0.5446 0.6346 0.1744
17 O 0.5880 0.2334 0.7819
18 O 0.6592 0.3272 0.0695
19 O 0.7868 0.6815 0.7472
20 O 0.8105 0.0661 0.5293
21 O 0.8217 0.4277 0.4962
22 O 0.9271 0.8057 0.2777
23 O 0.9903 0.1442 0.9981

Record 5
Structure and simulated XRD peak list of Pu2Ag3Au (a PBE-relaxed structure; CuKα).
Kinematic intensities with the Lorentz-polarization factor, no thermal factor.

Most intense lines, 10° ≤ 2θ ≤ 90°, most intense first:
d_spacing	I (rel.)
2.457	100.0
2.487	95.0
1.748	35.9
1.430	24.3
1.282	23.6
1.436	16.9
4.308	16.4
1.431	12.7

Structural model:
Lattice parameters (Å, degrees): 2.9912 4.9795 8.6091 90.00 90.00 90.00
Sites, in units of the cell vectors:
1 Pu 0.0000 0.0000 0.0000
2 Pu 0.0000 0.5000 0.4866
3 Ag 0.5000 0.0000 0.6633
4 Ag 0.5000 0.5000 0.1558
5 Ag 0.5000 0.5000 0.8250
6 Au 0.5000 0.0000 0.3285

Record 6
Structure and simulated XRD peak list of Er2CuGe6 (a PBE-relaxed structure; CuKα).
Kinematic intensities with the Lorentz-polarization factor, no thermal factor.

Most intense lines, 10° ≤ 2θ ≤ 90°, most intense first:
d_spacing	I (rel.)
2.661	100.0
2.036	20.4
2.023	20.0
2.380	19.9
2.675	19.3
2.042	15.3
2.087	13.3
1.435	13.0

Structural model:
Lattice parameters (Å, degrees): 4.0719 10.8333 10.8333 21.53 90.00 90.00
Sites, in units of the cell vectors:
1 Er 0.0000 0.0000 0.0000
2 Er 0.0000 0.3371 0.3371
3 Cu 0.5000 0.7813 0.7813
4 Ge 0.0000 0.6021 0.6021
5 Ge 0.0000 0.7199 0.7199
6 Ge 0.5000 0.1018 0.1018
7 Ge 0.5000 0.2200 0.2200
8 Ge 0.5000 0.4635 0.4635
9 Ge 0.5000 0.8901 0.8901